Calculated powder diffractogram
Compound: LiSbP4O12
Radiation: Cu Kα, 1.54184 Å
Structure: a structure optimized by DFT (GGA-PBE)

```
data_LiSbP4O12
_chemical_formula_sum 'Li4 Sb4 P16 O48'
_cell_length_a 16.427
_cell_length_b 7.128
_cell_length_c 9.856
_cell_angle_alpha 90.00
_cell_angle_beta 125.48
_cell_angle_gamma 90.00
_space_group_name_H-M_alt 'C 1 2/c 1'
_space_group_IT_number 15
loop_
_space_group_symop_operation_xyz
'x,y,z'
'-x,-y,-z'
'-x,y,-z+1/2'
'x,-y,z+1/2'
'x+1/2,y+1/2,z'
'-x+1/2,-y+1/2,-z'
'-x+1/2,y+1/2,-z+1/2'
'x+1/2,-y+1/2,z+1/2'
loop_
_atom_site_label
_atom_site_type_symbol
_atom_site_fract_x
_atom_site_fract_y
_atom_site_fract_z
Li1 Li 0.000 0.190 0.250
Sb1 Sb 0.000 0.330 0.750
P1 P 0.139 0.059 0.621
P2 P 0.144 0.350 0.190
O1 O 0.068 0.412 0.224
O2 O 0.069 0.023 0.438
O3 O 0.122 0.395 0.023
O4 O 0.123 0.218 0.702
O5 O 0.153 0.129 0.225
O6 O 0.250 0.075 0.661
```

Top 10 peaks for 10° ≤ 2θ ≤ 90°, by angle:
13.2°, intensity 60
15.3°, intensity 45
20.5°, intensity 98
22.2°, intensity 95
22.7°, intensity 36
22.8°, intensity 60
27.5°, intensity 100
32.0°, intensity 38
32.7°, intensity 57
33.6°, intensity 48